Fe6Ni8Ir: calculated powder diffraction line list (Cu Kα (λ = 1.5418 Å)), based on the PBE geometry in Alexandria.
Peak positions follow from Bragg's law for the DFT cell and can differ from measured ones.

Structural model:
Lattice parameters (Å, degrees): 7.2396 7.2396 7.2396 48.69 48.69 48.69
Fractional coordinates of all 15 atoms:
Fe 0.1818 0.6807 0.3394
Fe 0.3193 0.6606 0.8182
Fe 0.3394 0.1818 0.6807
Fe 0.6606 0.8182 0.3193
Fe 0.6807 0.3394 0.1818
Fe 0.8182 0.3193 0.6606
Ni 0.0597 0.5817 0.7736
Ni 0.2264 0.9403 0.4183
Ni 0.3009 0.3009 0.3009
Ni 0.4183 0.2264 0.9403
Ni 0.5817 0.7736 0.0597
Ni 0.6991 0.6991 0.6991
Ni 0.7736 0.0597 0.5817
Ni 0.9403 0.4183 0.2264
Ir 0.0000 0.0000 0.0000

Most intense lines, 15° ≤ 2θ ≤ 90°, low angle first:
- 2θ 29.07, I 51
- 2θ 33.15, I 100
- 2θ 39.65, I 22
- 2θ 41.47, I 70
- 2θ 46.74, I 58
- 2θ 47.50, I 22
- 2θ 48.52, I 41
- 2θ 50.47, I 37
- 2θ 50.97, I 36
- 2θ 52.94, I 35